Computed X-ray diffraction stick pattern of Nd2P2Rh for Cu Kα (λ = 1.5418 Å), from the GGA-PBE geometry in Alexandria.
No peak broadening, texture or thermal motion is included.

Top 10 peaks for 5 to 70 degrees two-theta, in order of rising 2θ:
2θ (°)	d/Å	I/Imax
23.9	3.723	340
26.6	3.355	285
32.1	2.789	1000
33.0	2.712	783
33.4	2.686	616
37.3	2.408	300
43.0	2.106	507
44.2	2.051	386
56.4	1.630	269
66.4	1.407	351

Cell and atoms:
a b c (Å): 5.8024 5.8024 10.4429
angles (deg): 111.18 111.18 41.41
Fractional positions:
Nd 0.0888 0.0888 0.3966
Nd 0.3012 0.3012 0.8587
Nd 0.6988 0.6988 0.1413
Nd 0.9112 0.9112 0.6034
P 0.0448 0.0448 0.9160
P 0.3420 0.3420 0.3624
P 0.6580 0.6580 0.6376
P 0.9552 0.9552 0.0840
Rh 0.4338 0.4338 0.1819
Rh 0.5662 0.5662 0.8181


Computed X-ray diffraction stick pattern of AcLaPtO6 for Cu Kα (λ = 1.5418 Å), from the GGA-PBE geometry in Alexandria.
No peak broadening, texture or thermal motion is included.

Top 10 peaks for 5 to 70 degrees two-theta, in order of rising 2θ:
2θ (°)	d/Å	I/Imax
18.9	4.708	233
25.7	3.469	1000
30.2	2.963	715
35.8	2.508	286
40.0	2.253	311
49.5	1.843	500
50.9	1.793	312
53.6	1.711	210
67.7	1.384	144
68.9	1.362	128

Cell and atoms:
a b c (Å): 5.9258 5.9258 9.4152
angles (deg): 90.00 90.00 120.00
Fractional positions:
Ac 0.3333 0.6667 0.2500
Ac 0.6667 0.3333 0.7500
La 0.0000 0.0000 0.0000
La 0.0000 0.0000 0.5000
Pt 0.3333 0.6667 0.7500
Pt 0.6667 0.3333 0.2500
O 0.0623 0.3807 0.6316
O 0.0623 0.6816 0.8684
O 0.3184 0.3807 0.8684
O 0.3184 0.9377 0.6316
O 0.3807 0.0623 0.1316
O 0.3807 0.3184 0.3684
O 0.6193 0.6816 0.6316
O 0.6193 0.9377 0.8684
O 0.6816 0.0623 0.3684
O 0.6816 0.6193 0.1316
O 0.9377 0.3184 0.1316
O 0.9377 0.6193 0.3684


Computed X-ray diffraction stick pattern of Cd3TcPd for Cu Kα (λ = 1.5418 Å), from the GGA-PBE geometry in Alexandria.
No peak broadening, texture or thermal motion is included.

Top 10 peaks for 5 to 70 degrees two-theta, in order of rising 2θ:
2θ (°)	d/Å	I/Imax
17.5	5.066	284
24.9	3.582	150
30.6	2.925	738
35.4	2.533	1000
39.8	2.265	141
43.8	2.068	64
51.0	1.791	687
54.3	1.689	69
60.6	1.527	292
63.6	1.462	229

Cell and atoms:
a b c (Å): 5.0658 5.0658 5.0658
angles (deg): 90.00 90.00 90.00
Fractional positions:
Cd 0.0000 0.0000 0.5000
Cd 0.0000 0.5000 0.0000
Cd 0.5000 0.0000 0.0000
Tc 0.5000 0.5000 0.5000
Pd 0.0000 0.0000 0.0000


Computed X-ray diffraction stick pattern of LiAlSiO4 for Cu Kα (λ = 1.5418 Å), from the GGA-PBE geometry in Alexandria.
No peak broadening, texture or thermal motion is included.

Top 10 peaks for 5 to 70 degrees two-theta, in order of rising 2θ:
2θ (°)	d/Å	I/Imax
13.0	6.823	384
20.9	4.244	314
22.2	4.010	947
22.6	3.940	306
26.1	3.412	1000
32.3	2.771	876
34.8	2.579	641
37.4	2.403	309
50.1	1.819	337
67.3	1.391	538

Cell and atoms:
a b c (Å): 8.4422 8.4422 8.4422
angles (deg): 107.85 107.85 107.85
Fractional positions:
Li 0.0197 0.1896 0.7907
Li 0.1896 0.7907 0.0197
Li 0.3068 0.7032 0.4808
Li 0.4808 0.3068 0.7032
Li 0.7032 0.4808 0.3068
Li 0.7907 0.0197 0.1896
Al 0.1469 0.9687 0.3798
Al 0.3798 0.1469 0.9687
Al 0.4581 0.6752 0.8629
Al 0.6752 0.8629 0.4581
Al 0.8629 0.4581 0.6752
Al 0.9687 0.3798 0.1469
Si 0.0384 0.8214 0.6326
Si 0.1185 0.3479 0.5276
Si 0.3479 0.5276 0.1185
Si 0.5276 0.1185 0.3479
Si 0.6326 0.0384 0.8214
Si 0.8214 0.6326 0.0384
O 0.0010 0.3398 0.6510
O 0.1530 0.8361 0.5071
O 0.1872 0.9230 0.8544
O 0.1993 0.5269 0.2067
O 0.2067 0.1993 0.5269
O 0.2909 0.3129 0.9795
O 0.2925 0.5569 0.6259
O 0.3129 0.9795 0.2909
O 0.3398 0.6510 0.0010
O 0.5071 0.1530 0.8361
O 0.5269 0.2067 0.1993
O 0.5569 0.6259 0.2925
O 0.5668 0.9003 0.6054
O 0.5975 0.9100 0.9312
O 0.6054 0.5668 0.9003
O 0.6259 0.2925 0.5569
O 0.6510 0.0010 0.3398
O 0.8361 0.5071 0.1530
O 0.8544 0.1872 0.9230
O 0.9003 0.6054 0.5668
O 0.9100 0.9312 0.5975
O 0.9230 0.8544 0.1872
O 0.9312 0.5975 0.9100
O 0.9795 0.2909 0.3129


Computed X-ray diffraction stick pattern of ZnH6Cl2O3 for Cu Kα (λ = 1.5418 Å), from the GGA-PBE geometry in Alexandria.
No peak broadening, texture or thermal motion is included.

Top 10 peaks for 5 to 70 degrees two-theta, in order of rising 2θ:
2θ (°)	d/Å	I/Imax
13.8	6.398	482
16.7	5.316	855
17.9	4.943	840
18.9	4.707	690
20.5	4.337	787
23.1	3.856	484
26.6	3.356	1000
27.6	3.233	420
32.5	2.753	416
43.1	2.100	408

Cell and atoms:
a b c (Å): 6.6873 6.7909 14.1644
angles (deg): 90.94 101.85 98.42
Fractional positions:
Zn 0.0000 0.0000 0.0000
Zn 0.0000 0.0000 0.5000
Zn 0.3692 0.5985 0.2615
Zn 0.6308 0.4015 0.7385
H 0.0006 0.1278 0.8130
H 0.0362 0.6484 0.3968
H 0.0702 0.8303 0.6763
H 0.0738 0.6763 0.9052
H 0.1741 0.6522 0.5024
H 0.2055 0.6748 0.0120
H 0.2225 0.2036 0.8753
H 0.2740 0.9734 0.6677
H 0.3421 0.0531 0.1422
H 0.3425 0.0942 0.4286
H 0.3457 0.2509 0.0853
H 0.3476 0.2613 0.5103
H 0.6524 0.7387 0.4897
H 0.6543 0.7491 0.9147
H 0.6575 0.9058 0.5714
H 0.6579 0.9469 0.8578
H 0.7260 0.0266 0.3323
H 0.7775 0.7964 0.1247
H 0.7945 0.3252 0.9880
H 0.8259 0.3478 0.4976
H 0.9262 0.3237 0.0948
H 0.9298 0.1697 0.3237
H 0.9638 0.3516 0.6032
H 0.9994 0.8722 0.1870
Cl 0.0309 0.4591 0.2536
Cl 0.3788 0.9405 0.2846
Cl 0.4223 0.5250 0.6146
Cl 0.4660 0.5692 0.1164
Cl 0.5340 0.4308 0.8836
Cl 0.5777 0.4750 0.3854
Cl 0.6212 0.0595 0.7154
Cl 0.9691 0.5409 0.7464
O 0.0661 0.7143 0.4614
O 0.0820 0.7192 0.9727
O 0.1002 0.1011 0.8705
O 0.1218 0.9548 0.6484
O 0.2971 0.1208 0.4885
O 0.3017 0.1051 0.0773
O 0.6983 0.8949 0.9227
O 0.7029 0.8792 0.5115
O 0.8782 0.0452 0.3516
O 0.8998 0.8989 0.1295
O 0.9180 0.2808 0.0273
O 0.9339 0.2857 0.5386


Computed X-ray diffraction stick pattern of CuHgSBr for Cu Kα (λ = 1.5418 Å), from the GGA-PBE geometry in Alexandria.
No peak broadening, texture or thermal motion is included.

Top 10 peaks for 5 to 70 degrees two-theta, in order of rising 2θ:
2θ (°)	d/Å	I/Imax
9.4	9.396	224
12.8	6.933	208
19.7	4.506	263
25.3	3.525	783
27.7	3.217	281
29.5	3.030	443
29.8	2.996	232
33.9	2.645	1000
34.9	2.568	291
44.3	2.047	314

Cell and atoms:
a b c (Å): 10.2710 18.7926 4.0932
angles (deg): 90.00 90.00 90.00
Fractional positions:
Cu 0.0528 0.0701 0.0000
Cu 0.0858 0.6257 0.0000
Cu 0.4142 0.1257 0.0000
Cu 0.4472 0.5701 0.0000
Cu 0.5528 0.4299 0.0000
Cu 0.5858 0.8743 0.0000
Cu 0.9142 0.3743 0.0000
Cu 0.9472 0.9299 0.0000
Hg 0.0288 0.2312 0.5000
Hg 0.2413 0.3906 0.5000
Hg 0.2587 0.8906 0.5000
Hg 0.4712 0.7312 0.5000
Hg 0.5288 0.2688 0.5000
Hg 0.7413 0.1094 0.5000
Hg 0.7587 0.6094 0.5000
Hg 0.9712 0.7688 0.5000
S 0.0093 0.3616 0.5000
S 0.0189 0.8972 0.5000
S 0.4811 0.3972 0.5000
S 0.4907 0.8616 0.5000
S 0.5093 0.1384 0.5000
S 0.5189 0.6028 0.5000
S 0.9811 0.1028 0.5000
S 0.9907 0.6384 0.5000
Br 0.2302 0.5179 0.0000
Br 0.2462 0.7306 0.0000
Br 0.2538 0.2306 0.0000
Br 0.2698 0.0179 0.0000
Br 0.7302 0.9821 0.0000
Br 0.7462 0.7694 0.0000
Br 0.7538 0.2694 0.0000
Br 0.7698 0.4821 0.0000


Computed X-ray diffraction stick pattern of Pa2Ni3P3 for Cu Kα (λ = 1.5418 Å), from the GGA-PBE geometry in Alexandria.
No peak broadening, texture or thermal motion is included.

Top 10 peaks for 5 to 70 degrees two-theta, in order of rising 2θ:
2θ (°)	d/Å	I/Imax
15.1	5.853	581
26.4	3.379	288
28.6	3.123	260
30.5	2.926	108
36.0	2.493	1000
39.3	2.294	117
46.6	1.951	370
47.9	1.898	131
49.4	1.846	104
60.2	1.536	226

Cell and atoms:
a b c (Å): 6.7584 6.7584 7.3850
angles (deg): 90.00 90.00 120.00
Fractional positions:
Pa 0.3333 0.6667 0.0000
Pa 0.3333 0.6667 0.5000
Pa 0.6667 0.3333 0.0000
Pa 0.6667 0.3333 0.5000
Ni 0.0000 0.3393 0.2500
Ni 0.0000 0.6607 0.7500
Ni 0.3393 0.0000 0.2500
Ni 0.3393 0.3393 0.7500
Ni 0.6607 0.0000 0.7500
Ni 0.6607 0.6607 0.2500
P 0.0000 0.3235 0.7500
P 0.0000 0.6765 0.2500
P 0.3235 0.0000 0.7500
P 0.3235 0.3235 0.2500
P 0.6765 0.0000 0.2500
P 0.6765 0.6765 0.7500


Computed X-ray diffraction stick pattern of PrSi7Ru3 for Cu Kα (λ = 1.5418 Å), from the GGA-PBE geometry in Alexandria.
No peak broadening, texture or thermal motion is included.

Top 10 peaks for 5 to 70 degrees two-theta, in order of rising 2θ:
2θ (°)	d/Å	I/Imax
16.0	5.554	234
26.7	3.335	1000
32.2	2.777	191
35.5	2.531	611
38.1	2.360	221
40.1	2.250	350
40.7	2.217	565
46.9	1.937	443
49.4	1.846	361
65.8	1.419	191

Cell and atoms:
a b c (Å): 8.0596 8.0596 8.0596
angles (deg): 56.91 56.91 56.91
Fractional positions:
Pr 0.0000 0.0000 0.0000
Pr 0.5000 0.5000 0.5000
Si 0.0591 0.8532 0.6695
Si 0.1468 0.3306 0.9409
Si 0.1695 0.3532 0.5591
Si 0.2500 0.2500 0.2500
Si 0.3305 0.9409 0.1468
Si 0.3532 0.5591 0.1695
Si 0.4409 0.8306 0.6468
Si 0.5591 0.1694 0.3532
Si 0.6468 0.4409 0.8305
Si 0.6695 0.0591 0.8532
Si 0.7500 0.7500 0.7500
Si 0.8305 0.6468 0.4409
Si 0.8532 0.6695 0.0591
Si 0.9409 0.1468 0.3306
Ru 0.0778 0.7500 0.4222
Ru 0.2500 0.5778 0.9222
Ru 0.4222 0.0778 0.7500
Ru 0.5778 0.9222 0.2500
Ru 0.7500 0.4222 0.0778
Ru 0.9222 0.2500 0.5778


Computed X-ray diffraction stick pattern of ZnRe3Ru for Cu Kα (λ = 1.5418 Å), from the GGA-PBE geometry in Alexandria.
No peak broadening, texture or thermal motion is included.

Top 8 peaks for 5 to 70 degrees two-theta, in order of rising 2θ:
2θ (°)	d/Å	I/Imax
19.0	4.666	518
33.3	2.694	1000
38.6	2.333	982
43.4	2.087	250
55.7	1.650	678
59.4	1.555	125
66.5	1.407	414
69.8	1.347	229

Cell and atoms:
a b c (Å): 4.6656 4.6656 4.6656
angles (deg): 90.00 90.00 90.00
Fractional positions:
Zn 0.0000 0.0000 0.0000
Re 0.0000 0.5000 0.5000
Re 0.5000 0.0000 0.5000
Re 0.5000 0.5000 0.0000
Ru 0.5000 0.5000 0.5000


Computed X-ray diffraction stick pattern of Ho7Er12Cd for Cu Kα (λ = 1.5418 Å), from the GGA-PBE geometry in Alexandria.
No peak broadening, texture or thermal motion is included.

Top 10 peaks for 5 to 70 degrees two-theta, in order of rising 2θ:
2θ (°)	d/Å	I/Imax
29.5	3.032	481
30.6	2.917	296
31.2	2.868	221
31.4	2.848	612
31.5	2.841	380
31.8	2.815	379
32.3	2.769	1000
32.8	2.730	266
40.8	2.210	182
50.0	1.824	186

Cell and atoms:
a b c (Å): 8.7386 8.7485 8.8149
angles (deg): 70.58 83.17 77.53
Fractional positions:
Ho 0.0000 0.0000 0.0000
Ho 0.0992 0.4990 0.6518
Ho 0.3332 0.7872 0.6844
Ho 0.3748 0.3778 0.9518
Ho 0.6252 0.6222 0.0482
Ho 0.6668 0.2128 0.3156
Ho 0.9008 0.5010 0.3482
Er 0.0116 0.8791 0.3790
Er 0.0144 0.6834 0.9344
Er 0.2631 0.5599 0.2595
Er 0.2702 0.1488 0.3298
Er 0.3417 0.9424 0.0507
Er 0.3876 0.1672 0.6642
Er 0.6124 0.8328 0.3358
Er 0.6583 0.0576 0.9493
Er 0.7298 0.8512 0.6702
Er 0.7369 0.4401 0.7405
Er 0.9856 0.3166 0.0656
Er 0.9884 0.1209 0.6210
Cd 0.5000 0.5000 0.5000